Structure and theoretical X-ray diffraction stick pattern of Mg2Sb2Pd3 (a GGA-PBE-relaxed structure; a wavelength of 1.5418 Å).

Cell and atoms:
```
Mg2Sb2Pd3
1.0
4.598 0.000 0.000
-2.297 4.058 0.000
-2.288 -1.339 7.322
Mg Sb Pd
2 2 3
Direct
0.239 0.369 0.109
0.761 0.631 0.891
0.281 0.889 0.673
0.719 0.111 0.327
0.007 0.751 0.263
0.500 0.500 0.500
0.993 0.249 0.737
```

Most intense lines, 10 to 80 degrees two-theta, most intense first:
2θ/deg  intensity
38.6  100
12.1  86
39.8  70
39.2  48
30.2  41
39.7  34

Structure and theoretical X-ray diffraction stick pattern of Tb4PrIn2 (a GGA-PBE-relaxed structure; a wavelength of 1.5418 Å).

Cell and atoms:
```
Tb4PrIn2
1.0
6.434 0.000 0.000
0.000 10.906 0.000
-2.705 0.000 6.261
Tb Pr In
8 2 4
Direct
0.001 0.168 0.000
0.001 0.332 0.500
0.499 0.721 0.000
0.499 0.779 0.500
0.501 0.221 0.500
0.501 0.279 0.000
0.999 0.668 0.500
0.999 0.832 0.000
0.000 0.000 0.500
0.000 0.500 0.000
0.445 0.000 0.187
0.445 0.500 0.687
0.555 0.000 0.813
0.555 0.500 0.313
```

Most intense lines, 10 to 80 degrees two-theta, most intense first:
2θ/deg  intensity
30.3  100
29.4  95
34.9  92
31.2  48
28.5  47
33.0  41

Structure and theoretical X-ray diffraction stick pattern of HfMgIn (a GGA-PBE-relaxed structure; a wavelength of 1.5418 Å).

Cell and atoms:
```
HfMgIn
1.0
4.813 0.000 0.000
-2.407 4.168 0.000
0.000 0.000 3.225
Hf Mg In
1 1 1
Direct
0.000 0.000 0.000
0.333 0.667 0.500
0.667 0.333 0.500
```

Most intense lines, 10 to 80 degrees two-theta, most intense first:
2θ/deg  intensity
35.2  100
37.4  64
21.3  44
52.3  32
66.0  32
70.3  20

Structure and theoretical X-ray diffraction stick pattern of La2Dy3Ho6Tm (a GGA-PBE-relaxed structure; a wavelength of 1.5418 Å).

Cell and atoms:
```
La2Dy3Ho6Tm
1.0
3.088 -5.347 0.000
3.088 5.347 0.000
-2.053 0.000 11.614
La Dy Ho Tm
2 3 6 1
Direct
0.166 0.834 0.000
0.834 0.166 0.000
0.000 0.000 0.500
0.334 0.666 0.500
0.666 0.334 0.500
0.083 0.415 0.746
0.253 0.253 0.254
0.415 0.083 0.746
0.585 0.917 0.254
0.747 0.747 0.746
0.917 0.585 0.254
0.500 0.500 0.000
```

Most intense lines, 10 to 80 degrees two-theta, most intense first:
2θ/deg  intensity
30.7  100
35.6  51
61.0  32
51.3  30
61.1  11
64.0  9

Structure and theoretical X-ray diffraction stick pattern of Ba4PI4 (a GGA-PBE-relaxed structure; a wavelength of 1.5418 Å).

Cell and atoms:
```
Ba4PI4
1.0
8.266 -2.431 0.000
8.266 2.431 0.000
-6.152 0.000 10.455
Ba P I
4 1 4
Direct
0.082 0.082 0.410
0.315 0.315 0.227
0.685 0.685 0.773
0.918 0.918 0.590
0.500 0.500 0.500
0.108 0.108 0.908
0.306 0.306 0.698
0.694 0.694 0.302
0.892 0.892 0.092
```

Most intense lines, 10 to 80 degrees two-theta, most intense first:
2θ/deg  intensity
25.6  100
25.7  48
36.7  36
36.5  35
45.6  20
37.0  20

Structure and theoretical X-ray diffraction stick pattern of CoH8Ir2Pb (a GGA-PBE-relaxed structure; a wavelength of 1.5418 Å).

Cell and atoms:
```
CoH8Ir2Pb
1.0
2.342 1.352 5.579
-2.342 1.352 5.579
0.000 -2.704 5.579
Co H Ir Pb
1 8 2 1
Direct
0.000 0.000 0.000
0.062 0.062 0.653
0.062 0.653 0.062
0.196 0.196 0.196
0.347 0.938 0.938
0.653 0.062 0.062
0.804 0.804 0.804
0.938 0.347 0.938
0.938 0.938 0.347
0.291 0.291 0.291
0.709 0.709 0.709
0.500 0.500 0.500
```

Most intense lines, 10 to 80 degrees two-theta, most intense first:
2θ/deg  intensity
38.4  100
30.7  95
34.7  80
22.6  49
59.8  26
67.2  25